[1]
Cd2AsPb2: simulated powder X-ray diffraction pattern (λ = 1.5418 Å (Cu Kα)), based on a DFT-relaxed cell (GGA-PBE, Alexandria).

Top 12 peaks for 2θ = 15–90°, low angle first:
- 2θ = 24.3°, intensity 7
- 2θ = 30.1°, intensity 18
- 2θ = 32.6°, intensity 100
- 2θ = 35.3°, intensity 23
- 2θ = 38.9°, intensity 22
- 2θ = 53.1°, intensity 7
- 2θ = 53.6°, intensity 17
- 2θ = 54.8°, intensity 15
- 2θ = 61.6°, intensity 16
- 2θ = 65.4°, intensity 8
- 2θ = 72.0°, intensity 11
- 2θ = 87.6°, intensity 8

```
Cd2AsPb2
1.0
7.314 0.000 0.000
0.000 7.314 0.000
0.000 0.000 5.084
Cd As Pb
4 2 4
Cartesian
1.013 2.644 0.000 Cd
2.644 6.301 0.000 Cd
4.670 1.013 0.000 Cd
6.301 4.670 0.000 Cd
0.000 0.000 0.000 As
3.657 3.657 0.000 As
1.246 4.904 2.542 Pb
2.411 1.246 2.542 Pb
4.904 6.068 2.542 Pb
6.068 2.411 2.542 Pb
```


[2]
Cd2SbAsPb: simulated powder X-ray diffraction pattern (λ = 1.5418 Å (Cu Kα)), based on a DFT-relaxed cell (GGA-PBE, Alexandria).

Top 12 peaks for 2θ = 15–90°, low angle first:
- 2θ = 21.9°, intensity 34
- 2θ = 23.9°, intensity 55
- 2θ = 27.5°, intensity 32
- 2θ = 28.2°, intensity 38
- 2θ = 33.8°, intensity 100
- 2θ = 34.4°, intensity 75
- 2θ = 36.6°, intensity 19
- 2θ = 37.4°, intensity 20
- 2θ = 39.0°, intensity 53
- 2θ = 41.1°, intensity 41
- 2θ = 43.4°, intensity 44
- 2θ = 58.0°, intensity 29

```
Cd2SbAsPb
1.0
7.306 0.000 0.000
0.000 4.615 0.000
-2.436 0.000 8.441
Cd Sb As Pb
4 2 2 2
Cartesian
-0.277 1.154 1.118 Cd
-0.642 3.461 3.238 Cd
5.512 1.154 5.203 Cd
5.147 3.461 7.323 Cd
-0.307 1.154 7.787 Sb
5.177 3.461 0.654 Sb
0.760 1.154 3.837 As
4.110 3.461 4.603 As
1.482 3.461 6.075 Pb
3.388 1.154 2.366 Pb
```


[3]
Cd3As2Pd4: simulated powder X-ray diffraction pattern (λ = 1.5418 Å (Cu Kα)), based on a DFT-relaxed cell (GGA-PBE, Alexandria).

Top 12 peaks for 2θ = 15–90°, low angle first:
- 2θ = 28.7°, intensity 76
- 2θ = 30.2°, intensity 47
- 2θ = 33.3°, intensity 42
- 2θ = 35.0°, intensity 48
- 2θ = 36.4°, intensity 100
- 2θ = 36.7°, intensity 98
- 2θ = 36.9°, intensity 56
- 2θ = 39.0°, intensity 82
- 2θ = 40.3°, intensity 37
- 2θ = 41.1°, intensity 45
- 2θ = 42.4°, intensity 89
- 2θ = 43.3°, intensity 71

```
Cd3As2Pd4
1.0
6.521 -4.811 0.000
6.521 4.811 0.000
-1.144 0.000 5.389
Cd As Pd
6 4 8
Cartesian
5.663 4.335 4.042 Cd
4.502 1.752 5.370 Cd
6.823 1.752 2.714 Cd
5.075 -1.752 2.675 Cd
7.395 -1.752 0.019 Cd
6.235 -4.335 1.347 Cd
2.035 1.814 3.859 As
2.607 -1.814 1.165 As
9.291 1.814 4.225 As
9.863 -1.814 1.530 As
2.353 0.587 0.467 Pd
1.781 -0.587 3.162 Pd
4.227 0.912 2.640 Pd
3.655 -0.912 5.335 Pd
8.243 0.912 0.054 Pd
7.671 -0.912 2.749 Pd
10.117 0.587 2.227 Pd
9.545 -0.587 4.922 Pd
```


[4]
CdSn2AsPd: simulated powder X-ray diffraction pattern (λ = 1.5418 Å (Cu Kα)), based on a DFT-relaxed cell (GGA-PBE, Alexandria).

Top 12 peaks for 2θ = 15–90°, low angle first:
- 2θ = 17.7°, intensity 23
- 2θ = 26.5°, intensity 100
- 2θ = 27.6°, intensity 51
- 2θ = 30.5°, intensity 22
- 2θ = 31.4°, intensity 46
- 2θ = 32.9°, intensity 31
- 2θ = 34.5°, intensity 23
- 2θ = 38.8°, intensity 72
- 2θ = 42.7°, intensity 64
- 2θ = 45.4°, intensity 36
- 2θ = 45.9°, intensity 30
- 2θ = 46.1°, intensity 20

```
CdSn2AsPd
1.0
11.403 0.000 0.000
0.000 3.997 0.000
-2.578 0.000 5.699
Cd Sn As Pd
2 4 2 2
Cartesian
0.000 0.000 0.000 Cd
5.701 1.999 0.000 Cd
0.283 0.000 4.878 Sn
3.200 1.999 2.689 Sn
5.984 1.999 4.878 Sn
8.901 0.000 2.689 Sn
0.479 1.999 3.058 As
6.180 0.000 3.058 As
4.350 0.000 1.371 Pd
10.051 1.999 1.371 Pd
```


[5]
CdSn2AsPd: simulated powder X-ray diffraction pattern (λ = 1.5418 Å (Cu Kα)), based on a DFT-relaxed cell (GGA-PBE, Alexandria).

Top 12 peaks for 2θ = 15–90°, low angle first:
- 2θ = 23.2°, intensity 27
- 2θ = 23.6°, intensity 46
- 2θ = 24.1°, intensity 52
- 2θ = 24.4°, intensity 28
- 2θ = 27.9°, intensity 24
- 2θ = 30.1°, intensity 29
- 2θ = 39.2°, intensity 97
- 2θ = 39.8°, intensity 46
- 2θ = 40.1°, intensity 51
- 2θ = 40.2°, intensity 100
- 2θ = 57.8°, intensity 31
- 2θ = 73.2°, intensity 24

```
CdSn2AsPd
1.0
7.765 0.000 0.000
0.000 4.500 0.000
-2.734 0.000 7.543
Cd Sn As Pd
2 4 2 2
Cartesian
0.000 0.000 0.000 Cd
3.883 2.250 0.000 Cd
-1.344 2.250 4.166 Sn
1.234 2.250 2.268 Sn
2.539 0.000 4.166 Sn
5.116 0.000 2.268 Sn
-1.439 2.250 6.906 As
2.443 0.000 6.906 As
-0.055 0.000 3.108 Pd
3.828 2.250 3.108 Pd
```


[6]
CdSn2AsPd: simulated powder X-ray diffraction pattern (λ = 1.5418 Å (Cu Kα)), based on a DFT-relaxed cell (GGA-PBE, Alexandria).

Top 12 peaks for 2θ = 15–90°, low angle first:
- 2θ = 20.2°, intensity 54
- 2θ = 29.9°, intensity 60
- 2θ = 30.0°, intensity 52
- 2θ = 34.1°, intensity 39
- 2θ = 34.5°, intensity 51
- 2θ = 35.4°, intensity 41
- 2θ = 35.7°, intensity 60
- 2θ = 39.3°, intensity 100
- 2θ = 39.7°, intensity 82
- 2θ = 40.3°, intensity 41
- 2θ = 40.7°, intensity 56
- 2θ = 41.1°, intensity 42

```
CdSn2AsPd
1.0
5.242 0.000 0.000
2.573 4.640 0.000
0.682 1.506 5.145
Cd Sn As Pd
1 2 1 1
Cartesian
0.000 0.000 0.000 Cd
1.088 2.068 2.255 Sn
6.090 4.817 3.843 Sn
3.810 2.257 0.946 As
5.171 4.565 1.237 Pd
```


[7]
CdSn2AsPd: simulated powder X-ray diffraction pattern (λ = 1.5418 Å (Cu Kα)), based on a DFT-relaxed cell (GGA-PBE, Alexandria).

Top 12 peaks for 2θ = 15–90°, low angle first:
- 2θ = 28.7°, intensity 19
- 2θ = 30.6°, intensity 34
- 2θ = 31.3°, intensity 35
- 2θ = 36.6°, intensity 89
- 2θ = 38.4°, intensity 100
- 2θ = 40.5°, intensity 20
- 2θ = 42.3°, intensity 72
- 2θ = 44.4°, intensity 20
- 2θ = 51.3°, intensity 24
- 2θ = 68.6°, intensity 34
- 2θ = 71.1°, intensity 26
- 2θ = 72.4°, intensity 27

```
CdSn2AsPd
1.0
3.150 0.000 0.000
0.000 3.560 0.000
-1.574 0.000 10.194
Cd Sn As Pd
1 2 1 1
Cartesian
0.000 0.000 0.000 Cd
1.590 0.000 4.034 Sn
1.596 0.000 7.343 Sn
1.573 1.780 1.679 As
0.021 1.780 5.791 Pd
```


[8]
RbCd6As2: simulated powder X-ray diffraction pattern (λ = 1.5418 Å (Cu Kα)), based on a DFT-relaxed cell (GGA-PBE, Alexandria).

Top 12 peaks for 2θ = 15–90°, low angle first:
- 2θ = 25.0°, intensity 16
- 2θ = 30.0°, intensity 20
- 2θ = 32.3°, intensity 96
- 2θ = 36.4°, intensity 100
- 2θ = 40.8°, intensity 64
- 2θ = 45.1°, intensity 14
- 2θ = 47.6°, intensity 15
- 2θ = 56.5°, intensity 14
- 2θ = 59.1°, intensity 21
- 2θ = 62.4°, intensity 21
- 2θ = 69.0°, intensity 20
- 2θ = 71.5°, intensity 26

```
RbCd6As2
1.0
4.420 0.000 0.000
0.000 4.420 0.000
0.000 0.000 12.068
Rb Cd As
1 6 2
Cartesian
0.000 0.000 0.000 Rb
0.000 0.000 6.034 Cd
0.000 2.210 3.700 Cd
0.000 2.210 8.368 Cd
2.210 0.000 3.700 Cd
2.210 0.000 8.368 Cd
2.210 2.210 6.034 Cd
2.210 2.210 2.053 As
2.210 2.210 10.015 As
```


[9]
CdReAs4: simulated powder X-ray diffraction pattern (λ = 1.5418 Å (Cu Kα)), based on a DFT-relaxed cell (GGA-PBE, Alexandria).

Top 12 peaks for 2θ = 15–90°, low angle first:
- 2θ = 19.9°, intensity 7
- 2θ = 23.0°, intensity 3
- 2θ = 32.8°, intensity 51
- 2θ = 38.6°, intensity 100
- 2θ = 40.4°, intensity 22
- 2θ = 51.5°, intensity 2
- 2θ = 58.5°, intensity 19
- 2θ = 62.4°, intensity 32
- 2θ = 68.7°, intensity 24
- 2θ = 78.2°, intensity 8
- 2θ = 81.7°, intensity 11
- 2θ = 82.8°, intensity 8

```
CdReAs4
1.0
0.000 3.865 3.865
3.865 0.000 3.865
3.865 3.865 0.000
Cd Re As
1 1 4
Cartesian
0.000 0.000 0.000 Cd
5.798 5.798 5.798 Re
2.906 2.906 2.906 As
4.825 4.825 2.906 As
4.825 2.906 4.825 As
2.906 4.825 4.825 As
```


[10]
CdReAsSe2: simulated powder X-ray diffraction pattern (λ = 1.5418 Å (Cu Kα)), based on a DFT-relaxed cell (GGA-PBE, Alexandria).

Top 12 peaks for 2θ = 15–90°, low angle first:
- 2θ = 17.8°, intensity 43
- 2θ = 18.5°, intensity 21
- 2θ = 25.2°, intensity 41
- 2θ = 25.7°, intensity 81
- 2θ = 31.4°, intensity 29
- 2θ = 36.0°, intensity 100
- 2θ = 37.4°, intensity 45
- 2θ = 44.7°, intensity 37
- 2θ = 45.7°, intensity 17
- 2θ = 51.8°, intensity 35
- 2θ = 52.9°, intensity 65
- 2θ = 65.6°, intensity 34

```
CdReAsSe2
1.0
4.996 0.000 0.000
0.000 4.996 0.000
0.000 0.000 4.807
Cd Re As Se
1 1 1 2
Cartesian
0.000 0.000 0.000 Cd
2.498 2.498 2.404 Re
2.498 2.498 0.000 As
0.000 2.498 2.404 Se
2.498 0.000 2.404 Se
```


[11]
Cd2AsRu: simulated powder X-ray diffraction pattern (λ = 1.5418 Å (Cu Kα)), based on a DFT-relaxed cell (GGA-PBE, Alexandria).

Top 12 peaks for 2θ = 15–90°, low angle first:
- 2θ = 34.7°, intensity 100
- 2θ = 39.9°, intensity 68
- 2θ = 42.7°, intensity 28
- 2θ = 43.8°, intensity 52
- 2θ = 56.4°, intensity 12
- 2θ = 62.8°, intensity 34
- 2θ = 71.3°, intensity 23
- 2θ = 73.1°, intensity 11
- 2θ = 73.3°, intensity 11
- 2θ = 76.3°, intensity 10
- 2θ = 81.0°, intensity 16
- 2θ = 86.0°, intensity 7

```
Cd2AsRu
1.0
5.347 0.000 0.000
0.000 8.464 0.000
0.000 0.000 3.262
Cd As Ru
4 2 2
Cartesian
1.337 2.116 0.000 Cd
1.337 6.348 0.000 Cd
4.010 2.116 0.000 Cd
4.010 6.348 0.000 Cd
0.000 0.000 1.631 As
2.673 4.232 1.631 As
0.000 4.232 1.631 Ru
2.673 0.000 1.631 Ru
```


[12]
Cd7Sb2As2: simulated powder X-ray diffraction pattern (λ = 1.5418 Å (Cu Kα)), based on a DFT-relaxed cell (GGA-PBE, Alexandria).

Top 12 peaks for 2θ = 15–90°, low angle first:
- 2θ = 22.8°, intensity 35
- 2θ = 24.2°, intensity 38
- 2θ = 27.0°, intensity 27
- 2θ = 35.9°, intensity 100
- 2θ = 38.3°, intensity 44
- 2θ = 38.8°, intensity 42
- 2θ = 39.1°, intensity 76
- 2θ = 43.5°, intensity 13
- 2θ = 44.1°, intensity 20
- 2θ = 55.7°, intensity 27
- 2θ = 63.0°, intensity 13
- 2θ = 66.3°, intensity 15

```
Cd7Sb2As2
1.0
4.675 -4.698 0.000
4.675 4.698 0.000
-0.806 0.000 6.971
Cd Sb As
7 2 2
Cartesian
0.000 0.000 0.000 Cd
-0.311 0.000 3.785 Cd
2.482 2.357 0.246 Cd
6.427 2.318 3.492 Cd
4.464 0.000 0.610 Cd
2.482 -2.357 0.246 Cd
6.427 -2.318 3.492 Cd
4.060 2.122 5.345 Sb
4.060 -2.122 5.345 Sb
1.967 0.000 1.926 As
6.918 0.000 1.876 As
```